# 1
Structure and calculated XRD peak list of RbNa2AsF6 (a DFT-relaxed cell (PBE, the Materials Project); Cu Kα (weighted mean of Kα1 and Kα2)).
Lines closer than 0.1° are merged.

Top 10 peaks for 10° ≤ 2θ ≤ 80°, in order of rising 2θ:
(hkl)	Position (°2θ)	I/Imax
2 0 0	19.06	95
2 2 0	27.08	100
4 0 0	38.67	62
4 2 0	43.45	37
4 2 2	47.84	38
4 4 0	55.83	36
6 0 0	59.55	17
6 2 0	63.13	22
4 4 4	69.98	11
6 4 2	76.54	23

Cell and atoms:
```
data_RbNa2AsF6
_chemical_formula_sum 'Rb4 Na8 As4 F24'
_symmetry_space_group_name_H-M 'F m -3 m'
_symmetry_Int_Tables_number 225
_symmetry_space_group_name_Hall '-F 4 2 3'
_cell_length_a 9.315
_cell_length_b 9.315
_cell_length_c 9.315
_cell_angle_alpha 90.00
_cell_angle_beta 90.00
_cell_angle_gamma 90.00
loop_
_atom_site_label
_atom_site_type_symbol
_atom_site_fract_x
_atom_site_fract_y
_atom_site_fract_z
Rb1 Rb 0.000 0.000 0.000
Na1 Na 0.250 0.250 0.250
As1 As 0.000 0.000 0.500
F1 F 0.000 0.000 0.279
```

=====

# 2
Structure and calculated XRD peak list of Rb2NaAsF6 (a DFT-relaxed cell (PBE, the Materials Project); Cu Kα (weighted mean of Kα1 and Kα2)).
Lines closer than 0.1° are merged.

Top 10 peaks for 10° ≤ 2θ ≤ 80°, in order of rising 2θ:
(hkl)	Position (°2θ)	I/Imax
1 1 1	17.43	17
2 2 0	28.65	100
3 1 1	33.73	6
2 2 2	35.28	24
4 0 0	40.96	50
4 2 2	50.75	40
4 4 0	59.31	30
6 2 0	67.18	19
6 2 2	70.93	7
4 4 4	74.60	10

Cell and atoms:
```
data_Rb2NaAsF6
_chemical_formula_sum 'Rb8 Na4 As4 F24'
_symmetry_space_group_name_H-M 'F m -3 m'
_symmetry_Int_Tables_number 225
_symmetry_space_group_name_Hall '-F 4 2 3'
_cell_length_a 8.813
_cell_length_b 8.813
_cell_length_c 8.813
_cell_angle_alpha 90.00
_cell_angle_beta 90.00
_cell_angle_gamma 90.00
loop_
_atom_site_label
_atom_site_type_symbol
_atom_site_fract_x
_atom_site_fract_y
_atom_site_fract_z
Rb1 Rb 0.250 0.250 0.250
Na1 Na 0.000 0.000 0.000
As1 As 0.000 0.000 0.500
F1 F 0.000 0.000 0.264
```

=====

# 3
Structure and calculated XRD peak list of Na2TlAsF6 (a DFT-relaxed cell (PBE, the Materials Project); Cu Kα (weighted mean of Kα1 and Kα2)).
Lines closer than 0.1° are merged.

Top 10 peaks for 10° ≤ 2θ ≤ 80°, in order of rising 2θ:
(hkl)	Position (°2θ)	I/Imax
1 1 1	16.53	23
2 0 0	19.11	100
2 2 0	27.15	98
3 1 1	31.96	25
4 0 0	38.78	42
4 2 0	43.57	44
4 2 2	47.98	40
4 4 0	56.00	26
6 0 0	59.73	21
6 4 2	76.79	23

Cell and atoms:
```
data_Na2TlAsF6
_chemical_formula_sum 'Na8 Tl4 As4 F24'
_symmetry_space_group_name_H-M 'F m -3 m'
_symmetry_Int_Tables_number 225
_symmetry_space_group_name_Hall '-F 4 2 3'
_cell_length_a 9.289
_cell_length_b 9.289
_cell_length_c 9.289
_cell_angle_alpha 90.00
_cell_angle_beta 90.00
_cell_angle_gamma 90.00
loop_
_atom_site_label
_atom_site_type_symbol
_atom_site_fract_x
_atom_site_fract_y
_atom_site_fract_z
Na1 Na 0.250 0.250 0.250
Tl1 Tl 0.000 0.000 0.000
As1 As 0.000 0.000 0.500
F1 F 0.000 0.000 0.279
```

=====

# 4
Structure and calculated XRD peak list of As3Pb5O12F (a DFT-relaxed cell (PBE, the Materials Project); Cu Kα (weighted mean of Kα1 and Kα2)).
Lines closer than 0.1° are merged.

Top 10 peaks for 10° ≤ 2θ ≤ 80°, in order of rising 2θ:
(hkl)	Position (°2θ)	I/Imax
2 0 0	19.90	22
1 0 2	25.46	34
1 2 0	26.43	36
1 2 1	28.96	100
1 1 2	29.19	79
3 0 0	30.04	48
2 2 2	42.38	34
1 2 3	44.71	34
1 4 0	46.65	22
4 0 2	47.24	29

Cell and atoms:
```
data_As3Pb5O12F
_chemical_formula_sum 'As6 Pb10 O24 F2'
_symmetry_space_group_name_H-M 'P 63/m'
_symmetry_Int_Tables_number 176
_symmetry_space_group_name_Hall '-P 6c'
_cell_length_a 10.3037
_cell_length_b 10.3037
_cell_length_c 7.6067
_cell_angle_alpha 90.00
_cell_angle_beta 90.00
_cell_angle_gamma 120.00
loop_
_atom_site_label
_atom_site_type_symbol
_atom_site_fract_x
_atom_site_fract_y
_atom_site_fract_z
As1 As 0.0276 0.6293 0.2500
Pb1 Pb 0.0025 0.2459 0.2500
Pb2 Pb 0.3333 0.6667 0.5027
O1 O 0.0899 0.7477 0.0700
O2 O 0.1219 0.5284 0.2500
O3 O 0.1639 0.4900 0.7500
F1 F 0.0000 0.0000 0.2500
```

=====

# 5
Structure and calculated XRD peak list of AsSOF9 (a DFT-relaxed cell (PBE, the Materials Project); Cu Kα (weighted mean of Kα1 and Kα2)).
Lines closer than 0.1° are merged.

Top 10 peaks for 10° ≤ 2θ ≤ 80°, in order of rising 2θ:
(hkl)	Position (°2θ)	I/Imax
0 1 1	15.65	18
1 1 1	17.56	16
0 0 2	20.41	31
2 1 1	22.35	100
0 2 0	23.88	24
1 1 2	25.00	20
2 0 2	25.98	15
2 2 0	28.79	14
4 2 0	40.35	16
1 1 4	44.10	15

Cell and atoms:
```
data_AsSOF9
_chemical_formula_sum 'As4 S4 O4 F36'
_symmetry_space_group_name_H-M 'P n m a'
_symmetry_Int_Tables_number 62
_cell_length_a 11.175
_cell_length_b 7.454
_cell_length_c 8.704
_cell_angle_alpha 90.00
_cell_angle_beta 90.00
_cell_angle_gamma 90.00
loop_
_symmetry_equiv_pos_as_xyz
'x,y,z'
'-x,-y,-z'
'-x+1/2,-y,z+1/2'
'x+1/2,y,-z+1/2'
'x+1/2,-y+1/2,-z+1/2'
'-x+1/2,y+1/2,z+1/2'
'-x,y+1/2,-z'
'x,-y+1/2,z'
loop_
_atom_site_label
_atom_site_type_symbol
_atom_site_fract_x
_atom_site_fract_y
_atom_site_fract_z
As1 As 0.013 0.250 0.208
S1 S 0.196 0.750 0.334
O1 O 0.231 0.250 0.705
F1 F 0.004 0.750 0.994
F2 F 0.036 0.250 0.410
F3 F 0.063 0.750 0.309
F4 F 0.097 0.581 0.771
F5 F 0.126 0.082 0.190
F6 F 0.211 0.595 0.444
```